No. 1
Starting from DFT lattice parameters and positions (GGA-PBE), the powder diffractogram of Lu3Cu11Si4 was computed for a wavelength of 1.5418 Å.
Intensities are scaled so that the largest is 100.

Structure:
abc: 8.3207 8.3207 8.5200
angles: 90.00 90.00 120.00
Space group P6_3/mmc (No. 194)
Inequivalent atoms, fractional coordinates:
Lu: 0.1990 0.3980 0.2500 (multiplicity 6)
Cu: 0.1289 0.5644 0.7500 (multiplicity 6)
Cu: 0.1512 0.3024 0.5903 (multiplicity 12)
Cu: 0.3333 0.6667 0.5047 (multiplicity 4)
Si: 0.0000 0.0000 0.2500 (multiplicity 2)
Si: 0.0000 0.5000 0.0000 (multiplicity 6)

The 6 most intense peaks (2θ from 10° to 90°), sorted by position:
h k l  d [Å]  Rel. int.
2 0 0  3.603  27
2 0 1  3.318  26
3 0 1  2.312  78
2 1 2  2.295  57
2 0 3  2.230  100
2 2 0  2.080  57


No. 2
Starting from DFT lattice parameters and positions (GGA-PBE), the powder diffractogram of Ta3O8 was computed for a wavelength of 1.5418 Å.
Intensities are scaled so that the largest is 100.

Structure:
abc: 17.0242 3.9227 9.1086
angles: 90.00 90.00 90.00
Space group Pmma (No. 51)
Inequivalent atoms, fractional coordinates:
Ta: 0.0595 0.0000 0.1846 (multiplicity 4)
Ta: 0.1299 0.0000 0.6008 (multiplicity 4)
Ta: 0.2500 0.0000 0.3109 (multiplicity 2)
Ta: 0.2500 0.0000 0.9432 (multiplicity 2)
O: 0.0000 0.0000 0.0000 (multiplicity 2)
O: 0.0221 0.0000 0.6682 (multiplicity 4)
O: 0.0622 0.5000 0.1780 (multiplicity 4)
O: 0.1282 0.5000 0.5927 (multiplicity 4)
O: 0.1319 0.0000 0.3771 (multiplicity 4)
O: 0.1675 0.0000 0.8008 (multiplicity 4)
O: 0.1752 0.0000 0.1224 (multiplicity 4)
O: 0.2500 0.0000 0.5389 (multiplicity 2)
O: 0.2500 0.5000 0.3062 (multiplicity 2)
O: 0.2500 0.5000 0.9509 (multiplicity 2)

The 6 most intense peaks (2θ from 10° to 90°), sorted by position:
h k l  d [Å]  Rel. int.
0 1 0  3.923  100
4 0 1  3.856  28
3 0 2  3.552  67
5 0 1  3.189  34
3 1 2  2.633  40
5 1 1  2.474  24


No. 3
Starting from DFT lattice parameters and positions (GGA-PBE), the powder diffractogram of Ba2TbZrO6 was computed for a wavelength of 1.5418 Å.
Intensities are scaled so that the largest is 100.

Structure:
abc: 8.7153 8.7153 8.7153
angles: 90.00 90.00 90.00
Space group Pn-3 (No. 201, origin choice 2)
Inequivalent atoms, fractional coordinates:
Ba: 0.2500 0.2500 0.2500 (multiplicity 2)
Ba: 0.2500 0.2500 0.7500 (multiplicity 6)
Tb: 0.0000 0.0000 0.0000 (multiplicity 4)
Zr: 0.0000 0.0000 0.5000 (multiplicity 4)
O: 0.0162 0.5174 0.7581 (multiplicity 24)

The 6 most intense peaks (2θ from 10° to 90°), sorted by position:
h k l  d [Å]  Rel. int.
2 2 0  3.081  100
4 0 0  2.179  30
4 2 2  1.779  42
4 4 0  1.541  19
6 2 0  1.378  18
6 2 4  1.165  22